This entry pairs a crystal structure of K5Tc2H12 with its calculated powder XRD pattern. Radiation: Cu Ka. Structure: DFT lattice parameters and positions (PBE).

Crystal structure
Cell: 6.5243 8.3885 9.0054 Å, 90.00 90.00 90.00°
Space group Immm (No. 71)
One atom of each set of equivalent atoms:
K: 0.0000 0.0000 0.0000 (multiplicity 2)
K: 0.0000 0.2786 0.2788 (multiplicity 8)
Tc: 0.2501 0.0000 0.5000 (multiplicity 4)
H: 0.0000 0.1020 0.5000 (multiplicity 4)
H: 0.0000 0.5000 0.0946 (multiplicity 4)
H: 0.2200 0.0000 0.3011 (multiplicity 8)
H: 0.2217 0.2861 0.0000 (multiplicity 8)

Principal peaks in the range 10° ≤ 2θ ≤ 90°, low angle first:
2θ (°)	d [Å]	I/Imax
14.43	6.138	100
29.10	3.069	97
31.05	2.881	69
33.93	2.642	43
34.85	2.574	46
40.05	2.251	19
42.31	2.136	24
43.81	2.066	22
52.81	1.733	20
54.12	1.695	19

This entry pairs a crystal structure of K3TcH8 with its calculated powder XRD pattern. Radiation: Cu Ka. Structure: DFT lattice parameters and positions (PBE).

Crystal structure
Cell: 6.2484 6.2484 7.9510 Å, 90.00 90.00 90.00°
Space group I-42m (No. 121)
One atom of each set of equivalent atoms:
K: 0.0000 0.0000 0.0000 (multiplicity 2)
K: 0.0000 0.5000 0.2500 (multiplicity 4)
Tc: 0.0000 0.0000 0.5000 (multiplicity 2)
H: 0.1089 0.1089 0.6748 (multiplicity 8)
H: 0.1912 0.1912 0.4480 (multiplicity 8)

Principal peaks in the range 10° ≤ 2θ ≤ 90°, low angle first:
2θ (°)	d [Å]	I/Imax
18.06	4.913	30
20.10	4.418	12
28.57	3.124	57
30.24	2.955	100
34.01	2.636	10
40.85	2.209	22
51.66	1.769	40
54.73	1.677	17
62.90	1.478	11
82.34	1.171	10

This entry pairs a crystal structure of KZnTcH6 with its calculated powder XRD pattern. Radiation: Cu Ka. Structure: DFT lattice parameters and positions (PBE).

Crystal structure
Cell: 3.3195 4.9566 6.2366 Å, 90.07 90.01 109.29°
Space group P1 (No. 1)
One atom of each set of equivalent atoms:
K: 0.0000 0.0000 0.0000 (multiplicity 1)
Zn: 0.5897 0.2402 0.5000 (multiplicity 1)
Tc: 0.3000 0.6747 0.4999 (multiplicity 1)
H: 0.2064 0.4142 0.6988 (multiplicity 1)
H: 0.2065 0.4132 0.3014 (multiplicity 1)
H: 0.4819 0.9446 0.3044 (multiplicity 1)
H: 0.4818 0.9453 0.6955 (multiplicity 1)
H: 0.9025 0.7073 0.3471 (multiplicity 1)
H: 0.9021 0.7086 0.6518 (multiplicity 1)

Principal peaks in the range 10° ≤ 2θ ≤ 90°, low angle first:
2θ (°)	d [Å]	I/Imax
14.20	6.237	100
23.78	3.742	25
28.63	3.118	44
32.01	2.796	68
39.56	2.278	15
39.75	2.268	14
41.22	2.190	28
49.55	1.840	16
49.71	1.834	16
52.88	1.731	15

This entry pairs a crystal structure of K4TeH with its calculated powder XRD pattern. Radiation: Cu Ka. Structure: DFT lattice parameters and positions (PBE).

Crystal structure
Cell: 5.5116 5.5116 8.0362 Å, 90.00 90.00 90.00°
Space group P4/mmm (No. 123)
One atom of each set of equivalent atoms:
K: 0.0000 0.5000 0.2290 (multiplicity 4)
Te: 0.0000 0.0000 0.5000 (multiplicity 1)
H: 0.5000 0.5000 0.0000 (multiplicity 1)

Principal peaks in the range 10° ≤ 2θ ≤ 90°, low angle first:
2θ (°)	d [Å]	I/Imax
11.01	8.036	37
16.08	5.512	50
19.53	4.545	68
25.40	3.507	47
27.47	3.247	28
31.99	2.798	100
32.49	2.756	50
38.19	2.357	24
46.61	1.949	17
57.65	1.599	33

This entry pairs a crystal structure of KTeH with its calculated powder XRD pattern. Radiation: Cu Ka. Structure: DFT lattice parameters and positions (PBE).

Crystal structure
Cell: 9.3870 6.3082 5.7414 Å, 90.00 90.00 90.00°
Space group Ima2 (No. 46)
One atom of each set of equivalent atoms:
K: 0.0000 0.0000 0.0000 (multiplicity 4)
Te: 0.2500 0.0344 0.4885 (multiplicity 4)
H: 0.2500 0.6736 0.1817 (multiplicity 4)

Principal peaks in the range 10° ≤ 2θ ≤ 90°, low angle first:
2θ (°)	d [Å]	I/Imax
18.91	4.694	14
20.92	4.246	20
28.34	3.150	100
31.16	2.871	16
38.36	2.347	9
42.58	2.123	12
44.10	2.053	9
50.16	1.819	20
53.73	1.706	13
58.64	1.574	9

This entry pairs a crystal structure of K3TeH with its calculated powder XRD pattern. Radiation: Cu Ka. Structure: DFT lattice parameters and positions (PBE).

Crystal structure
Cell: 5.8676 7.1947 9.2403 Å, 90.00 108.32 90.00°
Space group P2_1 (No. 4)
One atom of each set of equivalent atoms:
K: 0.0590 0.0000 0.1184 (multiplicity 2)
K: 0.1984 0.5782 0.3998 (multiplicity 2)
K: 0.4259 0.8444 0.8502 (multiplicity 2)
Te: 0.3701 0.3216 0.7384 (multiplicity 2)
H: 0.0792 0.3560 0.1609 (multiplicity 2)

Principal peaks in the range 10° ≤ 2θ ≤ 90°, low angle first:
2θ (°)	d [Å]	I/Imax
15.93	5.563	100
20.21	4.395	65
24.78	3.593	35
29.58	3.020	86
30.47	2.934	43
32.18	2.781	55
32.27	2.774	28
32.98	2.716	29
34.56	2.595	21
53.57	1.711	27

This entry pairs a crystal structure of K3TeH with its calculated powder XRD pattern. Radiation: Cu Ka. Structure: DFT lattice parameters and positions (PBE).

Crystal structure
Cell: 6.3695 6.3695 17.7271 Å, 90.00 90.00 90.00°
Space group I-4m2 (No. 119)
One atom of each set of equivalent atoms:
K: 0.0000 0.0000 0.2159 (multiplicity 4)
K: 0.0000 0.2631 0.5871 (multiplicity 8)
Te: 0.0000 0.5000 0.1150 (multiplicity 4)
H: 0.0000 0.0000 0.5000 (multiplicity 2)
H: 0.0000 0.5000 0.7500 (multiplicity 2)

Principal peaks in the range 10° ≤ 2θ ≤ 90°, low angle first:
2θ (°)	d [Å]	I/Imax
14.78	5.994	79
19.71	4.504	41
20.04	4.432	49
20.50	4.332	37
28.02	3.185	62
28.25	3.159	99
28.82	3.098	44
31.82	2.812	77
34.97	2.566	100
48.07	1.893	48

This entry pairs a crystal structure of K2TeH3 with its calculated powder XRD pattern. Radiation: Cu Ka. Structure: DFT lattice parameters and positions (PBE).

Crystal structure
Cell: 8.3815 8.3815 7.3805 Å, 90.00 90.00 90.00°
Space group I4/mcm (No. 140)
One atom of each set of equivalent atoms:
K: 0.2181 0.2819 0.0000 (multiplicity 8)
Te: 0.0000 0.0000 0.2500 (multiplicity 4)
H: 0.0000 0.5000 0.1057 (multiplicity 8)
H: 0.0000 0.5000 0.2500 (multiplicity 4)

Principal peaks in the range 10° ≤ 2θ ≤ 90°, low angle first:
2θ (°)	d [Å]	I/Imax
14.95	5.927	100
28.49	3.133	52
30.16	2.963	56
32.32	2.770	94
33.82	2.650	34
41.97	2.153	30
43.17	2.095	17
54.95	1.671	31
58.96	1.566	17
61.78	1.502	13